No. 1
Starting from the PBE+U geometry in the Materials Project, the powder X-ray diffraction pattern of P2WO8 was calculated for Cu Kα.
No peak broadening, texture or thermal motion is included.

Peak list (12 most intense, 10° ≤ 2θ ≤ 80°, in order of rising 2θ)
d/Å	intensity
8.298	70
6.494	28
5.564	67
5.393	100
3.946	74
3.802	36
3.617	32
3.465	23
3.181	30
3.146	23
3.073	22
2.718	23

Atomic structure:
a b c (Å): 4.991 12.989 11.483
angles (deg): 90.00 110.05 90.00
Atoms (fractional coordinates):
P: 0.094 0.249 0.294
P: 0.094 0.251 0.794
P: 0.193 0.587 0.884
P: 0.193 0.913 0.384
P: 0.807 0.087 0.616
P: 0.807 0.413 0.116
P: 0.906 0.749 0.206
P: 0.906 0.751 0.706
W: 0.406 0.573 0.212
W: 0.406 0.927 0.712
W: 0.594 0.073 0.288
W: 0.594 0.427 0.788
O: 0.067 0.016 0.637
O: 0.067 0.484 0.137
O: 0.083 0.700 0.841
O: 0.083 0.800 0.341
O: 0.149 0.692 0.175
O: 0.149 0.808 0.675
O: 0.261 0.162 0.252
O: 0.261 0.338 0.752
O: 0.263 0.177 0.885
O: 0.263 0.323 0.385
O: 0.360 0.550 0.800
O: 0.360 0.950 0.300
O: 0.374 0.595 0.019
O: 0.374 0.905 0.519
O: 0.425 0.554 0.363
O: 0.425 0.946 0.863
O: 0.575 0.054 0.137
O: 0.575 0.446 0.637
O: 0.626 0.095 0.481
O: 0.626 0.405 0.981
O: 0.640 0.050 0.700
O: 0.640 0.450 0.200
O: 0.737 0.677 0.615
O: 0.737 0.823 0.115
O: 0.739 0.662 0.248
O: 0.739 0.838 0.748
O: 0.851 0.192 0.325
O: 0.851 0.308 0.825
O: 0.917 0.200 0.659
O: 0.917 0.300 0.159
O: 0.933 0.516 0.863
O: 0.933 0.984 0.363

---

No. 2
Starting from the PBE+U geometry in the Materials Project, the powder X-ray diffraction pattern of La2MnNiO6 was calculated for Cu Kα.
No peak broadening, texture or thermal motion is included.

Peak list (12 most intense, 10° ≤ 2θ ≤ 80°, in order of rising 2θ)
d/Å	intensity
3.913	27
2.790	98
2.745	100
2.272	22
1.957	59
1.611	24
1.602	41
1.576	19
1.395	16
1.372	17
1.244	16
1.231	17

Atomic structure:
a b c (Å): 5.491 5.491 5.491
angles (deg): 61.08 61.08 61.08
Atoms (fractional coordinates):
La: 0.250 0.250 0.250
La: 0.750 0.750 0.750
Mn: 0.500 0.500 0.500
Ni: 0.000 0.000 0.000
O: 0.191 0.324 0.739
O: 0.261 0.809 0.676
O: 0.324 0.739 0.191
O: 0.676 0.261 0.809
O: 0.739 0.191 0.324
O: 0.809 0.676 0.261

---

No. 3
Starting from the PBE+U geometry in the Materials Project, the powder X-ray diffraction pattern of MgTi4Cr2O10 was calculated for Cu Kα.
No peak broadening, texture or thermal motion is included.

Peak list (12 most intense, 10° ≤ 2θ ≤ 80°, in order of rising 2θ)
d/Å	intensity
4.930	71
3.426	100
2.807	65
2.753	65
2.604	75
2.600	87
2.586	83
1.831	42
1.793	52
1.756	64
1.505	45
1.497	43

Atomic structure:
a b c (Å): 5.209 5.783 7.380
angles (deg): 107.09 90.44 115.47
Atoms (fractional coordinates):
Mg: 0.000 0.000 0.000
Ti: 0.539 0.122 0.701
Ti: 0.564 0.127 0.226
Ti: 0.803 0.592 0.139
Ti: 0.806 0.637 0.617
Cr: 0.186 0.381 0.422
Cr: 0.232 0.462 0.913
O: 0.162 0.937 0.228
O: 0.211 0.805 0.596
O: 0.397 0.388 0.663
O: 0.437 0.221 0.972
O: 0.598 0.525 0.358
O: 0.617 0.815 0.099
O: 0.764 0.229 0.485
O: 0.796 0.968 0.750
O: 0.916 0.577 0.864
O: 0.995 0.359 0.154